Record 1
The following is a simulated X-ray powder pattern of Tb6PmPr8. It was derived from DFT lattice parameters and positions (PBE), using a wavelength of 1.5418 Å.

Crystal structure
```
data_Tb6PmPr8
_cell_length_a 12.8118
_cell_length_b 12.8118
_cell_length_c 3.7303
_cell_angle_alpha 90.00
_cell_angle_beta 90.00
_cell_angle_gamma 120.00
_space_group_name_H-M_alt 'P -3'
_space_group_IT_number 147
_space_group_name_Hall '-P 3'
loop_
_atom_site_label
_atom_site_fract_x
_atom_site_fract_y
_atom_site_fract_z
Tb1 0.1147 0.6269 0.0017
Pm1 0.0000 0.0000 0.0000
Pr1 0.0960 0.3248 0.4994
Pr2 0.3333 0.6667 0.5022
```

Top 6 peaks for 15° ≤ 2θ ≤ 90°, by intensity:
2θ = 29.02°, d 3.077, I 100, hkl 1 3 0
2θ = 32.11°, d 2.787, I 85, hkl 2 1 1
2θ = 28.84°, d 3.096, I 80, hkl 0 2 1
2θ = 57.81°, d 1.595, I 29, hkl 4 -1 2
2θ = 37.13°, d 2.421, I 27, hkl 4 1 0
2θ = 36.99°, d 2.430, I 25, hkl 4 -2 1

Record 2
The following is a simulated X-ray powder pattern of Tb3Pm4Pr5. It was derived from DFT lattice parameters and positions (PBE), using a wavelength of 1.5418 Å.

Crystal structure
```
data_Tb3Pm4Pr5
_cell_length_a 6.329
_cell_length_b 7.302
_cell_length_c 8.961
_cell_angle_alpha 89.97
_cell_angle_beta 89.87
_cell_angle_gamma 89.88
_space_group_name_H-M_alt 'P -1'
_space_group_IT_number 2
_space_group_name_Hall '-P 1'
loop_
_atom_site_label
_atom_site_fract_x
_atom_site_fract_y
_atom_site_fract_z
Tb1 0.000 0.000 0.000
Tb2 0.167 0.250 0.334
Pm1 0.165 0.750 0.334
Pm2 0.334 0.500 0.665
Pr1 0.000 0.500 0.000
Pr2 0.331 0.000 0.666
Pr3 0.498 0.249 0.000
```

Top 6 peaks for 15° ≤ 2θ ≤ 90°, by intensity:
2θ = 29.94°, d 2.984, I 100, hkl 1 2 1
2θ = 34.71°, d 2.584, I 51, hkl 2 0 2
2θ = 59.31°, d 1.558, I 25, hkl 0 4 3
2θ = 49.86°, d 1.829, I 18, hkl 3 2 0
2θ = 49.95°, d 1.826, I 18, hkl 0 4 0
2θ = 59.22°, d 1.560, I 11, hkl 4 0 1

Record 3
The following is a simulated X-ray powder pattern of Tb2PmPr4. It was derived from DFT lattice parameters and positions (PBE), using a wavelength of 1.5418 Å.

Crystal structure
```
data_Tb2PmPr4
_cell_length_a 6.541
_cell_length_b 24.573
_cell_length_c 6.909
_cell_angle_alpha 90.00
_cell_angle_beta 118.22
_cell_angle_gamma 90.00
_space_group_name_H-M_alt 'C 1 c 1'
_space_group_IT_number 9
_space_group_name_Hall 'C -2yc'
loop_
_atom_site_label
_atom_site_fract_x
_atom_site_fract_y
_atom_site_fract_z
Tb1 0.000 0.091 0.000
Tb2 0.451 0.159 0.902
Pm1 0.031 0.375 0.951
Pr1 0.060 0.481 0.577
Pr2 0.070 0.054 0.547
Pr3 0.433 0.268 0.324
Pr4 0.474 0.304 0.854
```

Top 6 peaks for 15° ≤ 2θ ≤ 90°, by intensity:
2θ = 29.80°, d 2.998, I 100, hkl 1 7 -1
2θ = 31.04°, d 2.881, I 67, hkl 2 0 0
2θ = 30.25°, d 2.954, I 31, hkl 0 2 2
2θ = 31.70°, d 2.823, I 30, hkl 1 5 1
2θ = 36.52°, d 2.460, I 30, hkl 1 7 1
2θ = 54.42°, d 1.686, I 23, hkl 0 14 1

Record 4
The following is a simulated X-ray powder pattern of TbPmPr4. It was derived from DFT lattice parameters and positions (PBE), using a wavelength of 1.5418 Å.

Crystal structure
```
data_TbPmPr4
_cell_length_a 6.378
_cell_length_b 11.031
_cell_length_c 6.370
_cell_angle_alpha 90.00
_cell_angle_beta 109.42
_cell_angle_gamma 90.00
_space_group_name_H-M_alt 'C 1 2/m 1'
_space_group_IT_number 12
_space_group_name_Hall '-C 2y'
loop_
_atom_site_label
_atom_site_fract_x
_atom_site_fract_y
_atom_site_fract_z
Tb1 0.000 0.000 0.000
Pm1 0.000 0.500 0.500
Pr1 0.000 0.166 0.500
Pr2 0.000 0.333 0.000
```

Top 6 peaks for 15° ≤ 2θ ≤ 90°, by intensity:
2θ = 29.75°, d 3.003, I 100, hkl 0 0 2
2θ = 34.47°, d 2.602, I 68, hkl 1 3 1
2θ = 58.86°, d 1.569, I 58, hkl 3 3 1
2θ = 49.55°, d 1.840, I 49, hkl 2 0 2
2θ = 29.70°, d 3.008, I 33, hkl 2 0 0
2θ = 80.50°, d 1.193, I 12, hkl 2 6 -4

Record 5
The following is a simulated X-ray powder pattern of Tb12Pm3Pr. It was derived from DFT lattice parameters and positions (PBE), using a wavelength of 1.5418 Å.

Crystal structure
```
data_Tb12Pm3Pr
_cell_length_a 5.072
_cell_length_b 5.072
_cell_length_c 20.277
_cell_angle_alpha 90.00
_cell_angle_beta 90.00
_cell_angle_gamma 90.00
_space_group_name_H-M_alt 'P 4/m m m'
_space_group_IT_number 123
_space_group_name_Hall '-P 4 2'
loop_
_atom_site_label
_atom_site_fract_x
_atom_site_fract_y
_atom_site_fract_z
Tb1 0.000 0.000 0.000
Tb2 0.000 0.000 0.249
Tb3 0.000 0.000 0.500
Tb4 0.000 0.500 0.125
Tb5 0.000 0.500 0.374
Pm1 0.500 0.500 0.000
Pm2 0.500 0.500 0.250
Pr1 0.500 0.500 0.500
```

Top 6 peaks for 15° ≤ 2θ ≤ 90°, by intensity:
2θ = 30.53°, d 2.928, I 100, hkl 1 1 4
2θ = 35.40°, d 2.536, I 51, hkl 2 0 0
2θ = 60.55°, d 1.529, I 43, hkl 3 1 4
2θ = 50.93°, d 1.793, I 36, hkl 2 2 0
2θ = 83.00°, d 1.163, I 18, hkl 3 3 4
2θ = 85.66°, d 1.134, I 17, hkl 4 2 0

Record 6
The following is a simulated X-ray powder pattern of TbPm6Pr5. It was derived from DFT lattice parameters and positions (PBE), using a wavelength of 1.5418 Å.

Crystal structure
```
data_TbPm6Pr5
_cell_length_a 6.361
_cell_length_b 11.016
_cell_length_c 12.174
_cell_angle_alpha 90.00
_cell_angle_beta 100.09
_cell_angle_gamma 90.00
_space_group_name_H-M_alt 'C 1 2/m 1'
_space_group_IT_number 12
_space_group_name_Hall '-C 2y'
loop_
_atom_site_label
_atom_site_fract_x
_atom_site_fract_y
_atom_site_fract_z
Tb1 0.000 0.000 0.000
Pm1 0.249 0.166 0.249
Pm2 0.250 0.000 0.751
Pr1 0.000 0.166 0.500
Pr2 0.000 0.333 0.000
Pr3 0.000 0.500 0.500
```

Top 6 peaks for 15° ≤ 2θ ≤ 90°, by intensity:
2θ = 29.80°, d 2.998, I 100, hkl 1 3 1
2θ = 34.55°, d 2.596, I 51, hkl 2 0 2
2θ = 59.00°, d 1.565, I 43, hkl 4 0 0
2θ = 49.66°, d 1.836, I 36, hkl 1 3 5
2θ = 80.66°, d 1.191, I 18, hkl 4 6 0
2θ = 83.21°, d 1.161, I 16, hkl 5 3 1

Record 7
The following is a simulated X-ray powder pattern of Tb6PmPr4. It was derived from DFT lattice parameters and positions (PBE), using a wavelength of 1.5418 Å.

Crystal structure
```
data_Tb6PmPr4
_cell_length_a 7.778
_cell_length_b 7.778
_cell_length_c 13.191
_cell_angle_alpha 90.00
_cell_angle_beta 90.00
_cell_angle_gamma 90.00
_space_group_name_H-M_alt 'I -4 2 m'
_space_group_IT_number 121
_space_group_name_Hall 'I -4 2'
loop_
_atom_site_label
_atom_site_fract_x
_atom_site_fract_y
_atom_site_fract_z
Tb1 0.000 0.500 0.000
Tb2 0.243 0.243 0.185
Pm1 0.000 0.000 0.000
Pr1 0.175 0.175 0.424
```

Top 6 peaks for 15° ≤ 2θ ≤ 90°, by intensity:
2θ = 31.63°, d 2.828, I 100, hkl 1 1 4
2θ = 32.56°, d 2.750, I 67, hkl 2 2 0
2θ = 26.61°, d 3.350, I 66, hkl 2 0 2
2θ = 54.57°, d 1.682, I 38, hkl 4 2 2
2θ = 26.50°, d 3.364, I 36, hkl 2 1 1
2θ = 35.30°, d 2.543, I 32, hkl 3 0 1

Record 8
The following is a simulated X-ray powder pattern of Tb5PmPr4. It was derived from DFT lattice parameters and positions (PBE), using a wavelength of 1.5418 Å.

Crystal structure
```
data_Tb5PmPr4
_cell_length_a 10.783
_cell_length_b 10.783
_cell_length_c 5.850
_cell_angle_alpha 90.00
_cell_angle_beta 90.00
_cell_angle_gamma 90.00
_space_group_name_H-M_alt 'P 4/n m m'
_space_group_IT_number 129
loop_
_space_group_symop_operation_xyz
'x,y,z'
'-x,-y,-z'
'-y+1/2,x,z'
'y+1/2,-x,-z'
'-x+1/2,-y+1/2,z'
'x+1/2,y+1/2,-z'
'y,-x+1/2,z'
'-y,x+1/2,-z'
'x+1/2,-y,-z'
'-x+1/2,y,z'
'-y,-x,-z'
'y,x,z'
'-x,y+1/2,-z'
'x,-y+1/2,z'
'y+1/2,x+1/2,-z'
'-y+1/2,-x+1/2,z'
loop_
_atom_site_label
_atom_site_fract_x
_atom_site_fract_y
_atom_site_fract_z
Tb1 0.088 0.088 0.164
Tb2 0.250 0.750 0.000
Pm1 0.250 0.250 0.617
Pr1 0.043 0.750 0.367
```

Top 6 peaks for 15° ≤ 2θ ≤ 90°, by intensity:
2θ = 29.16°, d 3.063, I 100, hkl 3 0 1
2θ = 30.34°, d 2.946, I 49, hkl 3 1 1
2θ = 31.70°, d 2.823, I 33, hkl 1 0 2
2θ = 35.31°, d 2.542, I 32, hkl 3 3 0
2θ = 52.73°, d 1.736, I 29, hkl 4 3 2
2θ = 27.93°, d 3.194, I 22, hkl 2 2 1

Record 9
The following is a simulated X-ray powder pattern of TbPm5Pr. It was derived from DFT lattice parameters and positions (PBE), using a wavelength of 1.5418 Å.

Crystal structure
```
data_TbPm5Pr
_cell_length_a 12.027
_cell_length_b 6.934
_cell_length_c 12.417
_cell_angle_alpha 90.00
_cell_angle_beta 110.82
_cell_angle_gamma 90.00
_space_group_name_H-M_alt 'C 1 2/c 1'
_space_group_IT_number 15
_space_group_name_Hall '-C 2yc'
loop_
_atom_site_label
_atom_site_fract_x
_atom_site_fract_y
_atom_site_fract_z
Tb1 0.000 0.026 0.250
Pm1 0.000 0.419 0.750
Pm2 0.077 0.267 0.501
Pm3 0.219 0.366 0.250
Pr1 0.250 0.250 0.000
```

Top 6 peaks for 15° ≤ 2θ ≤ 90°, by intensity:
2θ = 30.82°, d 2.901, I 100, hkl 0 0 4
2θ = 30.02°, d 2.977, I 100, hkl 0 2 2
2θ = 29.60°, d 3.018, I 75, hkl 3 1 -3
2θ = 30.42°, d 2.939, I 69, hkl 3 1 1
2θ = 32.68°, d 2.740, I 40, hkl 2 2 1
2θ = 45.29°, d 2.002, I 34, hkl 6 0 -2

Record 10
The following is a simulated X-ray powder pattern of Tb6Pm6Pr. It was derived from DFT lattice parameters and positions (PBE), using a wavelength of 1.5418 Å.

Crystal structure
```
data_Tb6Pm6Pr
_cell_length_a 6.631
_cell_length_b 11.328
_cell_length_c 6.632
_cell_angle_alpha 90.00
_cell_angle_beta 115.41
_cell_angle_gamma 90.00
_space_group_name_H-M_alt 'P 1 2/m 1'
_space_group_IT_number 10
_space_group_name_Hall '-P 2y'
loop_
_atom_site_label
_atom_site_fract_x
_atom_site_fract_y
_atom_site_fract_z
Tb1 0.000 0.200 0.000
Tb2 0.000 0.274 0.500
Tb3 0.500 0.274 0.000
Pm1 0.144 0.500 0.858
Pm2 0.230 0.000 0.770
Pm3 0.500 0.164 0.500
Pr1 0.500 0.500 0.500
```

Top 6 peaks for 15° ≤ 2θ ≤ 90°, by intensity:
2θ = 33.86°, d 2.648, I 100, hkl 2 2 0
2θ = 29.79°, d 2.999, I 94, hkl 0 0 2
2θ = 28.50°, d 3.132, I 76, hkl 1 3 -1
2θ = 31.93°, d 2.803, I 38, hkl 2 0 -2
2θ = 31.33°, d 2.855, I 34, hkl 2 2 -1
2θ = 34.72°, d 2.584, I 30, hkl 1 3 1

Record 11
The following is a simulated X-ray powder pattern of Tb6PmPr. It was derived from DFT lattice parameters and positions (PBE), using a wavelength of 1.5418 Å.

Crystal structure
```
data_Tb6PmPr
_cell_length_a 5.078
_cell_length_b 5.078
_cell_length_c 10.149
_cell_angle_alpha 90.00
_cell_angle_beta 90.00
_cell_angle_gamma 90.00
_space_group_name_H-M_alt 'P 4/m m m'
_space_group_IT_number 123
_space_group_name_Hall '-P 4 2'
loop_
_atom_site_label
_atom_site_fract_x
_atom_site_fract_y
_atom_site_fract_z
Tb1 0.000 0.000 0.000
Tb2 0.000 0.000 0.500
Tb3 0.000 0.500 0.249
Pm1 0.500 0.500 0.000
Pr1 0.500 0.500 0.500
```

Top 6 peaks for 15° ≤ 2θ ≤ 90°, by intensity:
2θ = 30.50°, d 2.931, I 100, hkl 1 1 2
2θ = 35.36°, d 2.539, I 51, hkl 2 0 0
2θ = 60.48°, d 1.531, I 43, hkl 3 1 2
2θ = 50.87°, d 1.795, I 36, hkl 2 2 0
2θ = 82.89°, d 1.165, I 18, hkl 3 3 2
2θ = 85.54°, d 1.135, I 17, hkl 4 2 0

Record 12
The following is a simulated X-ray powder pattern of Tb4Pm8Pr3. It was derived from DFT lattice parameters and positions (PBE), using a wavelength of 1.5418 Å.

Crystal structure
```
data_Tb4Pm8Pr3
_cell_length_a 14.093
_cell_length_b 12.272
_cell_length_c 6.935
_cell_angle_alpha 90.00
_cell_angle_beta 119.47
_cell_angle_gamma 90.00
_space_group_name_H-M_alt 'C 1 2/m 1'
_space_group_IT_number 12
_space_group_name_Hall '-C 2y'
loop_
_atom_site_label
_atom_site_fract_x
_atom_site_fract_y
_atom_site_fract_z
Tb1 0.000 0.000 0.000
Tb2 0.000 0.000 0.500
Tb3 0.250 0.250 0.000
Pm1 0.000 0.247 0.500
Pm2 0.000 0.296 0.000
Pm3 0.204 0.500 0.206
Pm4 0.247 0.000 0.242
Pr1 0.000 0.500 0.500
Pr2 0.250 0.250 0.500
```

Top 6 peaks for 15° ≤ 2θ ≤ 90°, by intensity:
2θ = 29.11°, d 3.068, I 100, hkl 4 0 0
2θ = 29.59°, d 3.019, I 55, hkl 4 0 -2
2θ = 33.07°, d 2.709, I 51, hkl 0 2 2
2θ = 41.64°, d 2.169, I 34, hkl 4 4 0
2θ = 41.99°, d 2.152, I 30, hkl 2 2 2
2θ = 61.43°, d 1.509, I 24, hkl 0 0 4

Record 13
The following is a simulated X-ray powder pattern of Tb2Pm6Pr3. It was derived from DFT lattice parameters and positions (PBE), using a wavelength of 1.5418 Å.

Crystal structure
```
data_Tb2Pm6Pr3
_cell_length_a 3.6494
_cell_length_b 3.6494
_cell_length_c 98.4294
_cell_angle_alpha 90.00
_cell_angle_beta 90.00
_cell_angle_gamma 120.00
_space_group_name_H-M_alt 'R -3 m'
_space_group_IT_number 166
_space_group_name_Hall '-R 3 2"'
loop_
_atom_site_label
_atom_site_fract_x
_atom_site_fract_y
_atom_site_fract_z
Tb1 0.0000 0.0000 0.0449
Pm1 0.0000 0.0000 0.1360
Pm2 0.0000 0.0000 0.3181
Pm3 0.0000 0.0000 0.4079
Pr1 0.0000 0.0000 0.2280
Pr2 0.0000 0.0000 0.5000
```

Top 6 peaks for 15° ≤ 2θ ≤ 90°, by intensity:
2θ = 29.98°, d 2.981, I 100, hkl 0 1 11
2θ = 34.75°, d 2.581, I 51, hkl 1 0 22
2θ = 59.37°, d 1.557, I 43, hkl 2 0 11
2θ = 49.97°, d 1.825, I 36, hkl 1 1 0
2θ = 81.22°, d 1.184, I 17, hkl 1 2 11
2θ = 83.80°, d 1.154, I 16, hkl 2 1 22